(1)
# YTcN3
Theoretical XRD peak list, CuKα. Input: the PBE geometry in the Materials Project.
Lines closer than 0.1° are merged.

Structure:
Lattice parameters (Å, degrees): 7.3884 7.3884 6.2700 107.20 107.20 82.27
Fractional positions:
Y 0.0915 0.9085 0.7500
Y 0.2919 0.7081 0.2500
Y 0.7081 0.2919 0.7500
Y 0.9085 0.0915 0.2500
Tc 0.2039 0.3773 0.7811
Tc 0.3773 0.2039 0.2811
Tc 0.6227 0.7961 0.7189
Tc 0.7961 0.6227 0.2189
N 0.0048 0.2192 0.6619
N 0.1312 0.6245 0.8396
N 0.2192 0.0048 0.1619
N 0.3333 0.3641 0.0833
N 0.3641 0.3333 0.5833
N 0.3755 0.8688 0.6604
N 0.6245 0.1312 0.3396
N 0.6359 0.6667 0.4167
N 0.6667 0.6359 0.9167
N 0.7808 0.9952 0.8381
N 0.8688 0.3755 0.1604
N 0.9952 0.7808 0.3381

Main lines, sorted by position (2θ = 10–90°):
- 25.27°, intensity 19
- 25.82°, intensity 100
- 27.71°, intensity 30
- 31.02°, intensity 45
- 33.18°, intensity 33
- 34.51°, intensity 21
- 36.68°, intensity 25
- 47.35°, intensity 21
- 49.70°, intensity 28
- 60.78°, intensity 16

(2)
# Ti4Te3N2
Theoretical XRD peak list, CuKα. Input: the PBE geometry in the Materials Project.
Lines closer than 0.1° are merged.

Structure:
Lattice parameters (Å, degrees): 6.7488 10.7413 9.7970 90.00 90.00 90.00
Fractional positions:
Ti 0.0912 0.2500 0.0980
Ti 0.1908 0.0114 0.9444
Ti 0.1908 0.4886 0.9444
Ti 0.2074 0.7500 0.0944
Ti 0.2926 0.2500 0.5944
Ti 0.3092 0.5114 0.4444
Ti 0.3092 0.9886 0.4444
Ti 0.4088 0.7500 0.5980
Ti 0.5912 0.2500 0.4020
Ti 0.6908 0.0114 0.5556
Ti 0.6908 0.4886 0.5556
Ti 0.7074 0.7500 0.4056
Ti 0.7926 0.2500 0.9056
Ti 0.8092 0.5114 0.0556
Ti 0.8092 0.9886 0.0556
Ti 0.9088 0.7500 0.9020
Te 0.0788 0.5732 0.6809
Te 0.0788 0.9268 0.6809
Te 0.1192 0.7500 0.3702
Te 0.3808 0.2500 0.8702
Te 0.4212 0.0732 0.1809
Te 0.4212 0.4268 0.1809
Te 0.5788 0.5732 0.8191
Te 0.5788 0.9268 0.8191
Te 0.6192 0.7500 0.1298
Te 0.8808 0.2500 0.6298
Te 0.9212 0.0732 0.3191
Te 0.9212 0.4268 0.3191
N 0.0380 0.6208 0.0360
N 0.0380 0.8792 0.0360
N 0.4620 0.1208 0.5360
N 0.4620 0.3792 0.5360
N 0.5380 0.6208 0.4640
N 0.5380 0.8792 0.4640
N 0.9620 0.1208 0.9640
N 0.9620 0.3792 0.9640

Main lines, sorted by position (2θ = 10–90°):
- 17.97°, intensity 22
- 26.50°, intensity 100
- 27.71°, intensity 39
- 30.41°, intensity 71
- 32.65°, intensity 88
- 33.35°, intensity 20
- 33.73°, intensity 100
- 42.04°, intensity 33
- 42.73°, intensity 27
- 47.59°, intensity 22

(3)
# U2Te2N
Theoretical XRD peak list, CuKα. Input: the PBE geometry in the Materials Project.
Lines closer than 0.1° are merged.

Structure:
Lattice parameters (Å, degrees): 3.1474 3.1474 14.2859 90.00 90.00 90.00
Fractional positions:
U 0.0000 0.0000 0.1387
U 0.0000 0.0000 0.8613
Te 0.0000 0.0000 0.3582
Te 0.0000 0.0000 0.6418
N 0.0000 0.0000 0.0000

Main lines, sorted by position (2θ = 10–90°):
- 24.93°, intensity 55
- 28.36°, intensity 100
- 38.11°, intensity 74
- 40.53°, intensity 39
- 47.91°, intensity 14
- 48.18°, intensity 38
- 59.52°, intensity 14
- 64.73°, intensity 16
- 66.42°, intensity 18
- 72.13°, intensity 24

(4)
# UTeN
Theoretical XRD peak list, CuKα. Input: the PBE geometry in the Materials Project.
Lines closer than 0.1° are merged.

Structure:
Lattice parameters (Å, degrees): 3.8641 3.8641 8.3391 90.00 90.00 90.00
Fractional positions:
U 0.2500 0.2500 0.1392
U 0.7500 0.7500 0.8608
Te 0.2500 0.2500 0.6557
Te 0.7500 0.7500 0.3443
N 0.2500 0.7500 0.0000
N 0.7500 0.2500 0.0000

Main lines, sorted by position (2θ = 10–90°):
- 10.61°, intensity 22
- 31.57°, intensity 100
- 32.78°, intensity 45
- 43.40°, intensity 8
- 47.03°, intensity 19
- 55.44°, intensity 18
- 57.75°, intensity 37
- 65.91°, intensity 9
- 77.57°, intensity 8
- 78.23°, intensity 8

(5)
# U2TeN2
Theoretical XRD peak list, CuKα. Input: the PBE geometry in the Materials Project.
Lines closer than 0.1° are merged.

Structure:
Lattice parameters (Å, degrees): 6.8957 6.8957 6.8957 147.32 147.32 46.89
Fractional positions:
U 0.1594 0.1594 0.0000
U 0.8406 0.8406 0.0000
Te 0.5000 0.5000 0.0000
N 0.2500 0.7500 0.5000
N 0.7500 0.2500 0.5000

Main lines, sorted by position (2θ = 10–90°):
- 23.99°, intensity 8
- 31.32°, intensity 100
- 32.64°, intensity 41
- 42.89°, intensity 9
- 46.82°, intensity 18
- 54.91°, intensity 22
- 57.42°, intensity 37
- 65.36°, intensity 11
- 71.36°, intensity 9
- 89.78°, intensity 10

(6)
# Te3W4N2
Theoretical XRD peak list, CuKα. Input: the PBE geometry in the Materials Project.
Lines closer than 0.1° are merged.

Structure:
Lattice parameters (Å, degrees): 5.5786 10.3928 11.7888 90.00 90.00 90.00
Fractional positions:
Te 0.0486 0.0332 0.1882
Te 0.0486 0.4668 0.1882
Te 0.1520 0.2500 0.8709
Te 0.3480 0.7500 0.3709
Te 0.4514 0.5332 0.6882
Te 0.4514 0.9668 0.6882
Te 0.5486 0.0332 0.3118
Te 0.5486 0.4668 0.3118
Te 0.6520 0.2500 0.6291
Te 0.8480 0.7500 0.1291
Te 0.9514 0.5332 0.8118
Te 0.9514 0.9668 0.8118
W 0.1045 0.7500 0.6825
W 0.1503 0.7500 0.9290
W 0.2323 0.5363 0.4872
W 0.2323 0.9637 0.4872
W 0.2677 0.0363 0.9872
W 0.2677 0.4637 0.9872
W 0.3497 0.2500 0.4290
W 0.3955 0.2500 0.1825
W 0.6045 0.7500 0.8175
W 0.6503 0.7500 0.5710
W 0.7323 0.5363 0.0128
W 0.7323 0.9637 0.0128
W 0.7677 0.0363 0.5128
W 0.7677 0.4637 0.5128
W 0.8497 0.2500 0.0710
W 0.8955 0.2500 0.3175
N 0.0616 0.1273 0.4412
N 0.0616 0.3727 0.4412
N 0.4384 0.6273 0.9412
N 0.4384 0.8727 0.9412
N 0.5616 0.1273 0.0588
N 0.5616 0.3727 0.0588
N 0.9384 0.6273 0.5588
N 0.9384 0.8727 0.5588

Main lines, sorted by position (2θ = 10–90°):
- 11.35°, intensity 100
- 32.77°, intensity 48
- 34.42°, intensity 39
- 34.52°, intensity 64
- 35.00°, intensity 43
- 35.59°, intensity 61
- 37.38°, intensity 57
- 38.21°, intensity 42
- 39.74°, intensity 36
- 43.45°, intensity 35

(7)
# Y3Te3N
Theoretical XRD peak list, CuKα. Input: the PBE geometry in the Materials Project.
Lines closer than 0.1° are merged.

Structure:
Lattice parameters (Å, degrees): 8.1384 12.0110 8.6958 90.00 108.83 90.00
Fractional positions:
Y 0.1029 0.0236 0.3627
Y 0.1029 0.4764 0.8627
Y 0.2660 0.7098 0.1536
Y 0.2660 0.7902 0.6536
Y 0.3392 0.0879 0.7957
Y 0.3392 0.4121 0.2957
Y 0.6608 0.5879 0.7043
Y 0.6608 0.9121 0.2043
Y 0.7340 0.2098 0.3464
Y 0.7340 0.2902 0.8464
Y 0.8971 0.5236 0.1373
Y 0.8971 0.9764 0.6373
Te 0.0086 0.2339 0.6873
Te 0.0086 0.2661 0.1873
Te 0.2768 0.5207 0.5874
Te 0.2768 0.9793 0.0874
Te 0.4545 0.1927 0.5182
Te 0.4545 0.3073 0.0182
Te 0.5455 0.6927 0.9818
Te 0.5455 0.8073 0.4818
Te 0.7232 0.0207 0.9126
Te 0.7232 0.4793 0.4126
Te 0.9914 0.7339 0.8127
Te 0.9914 0.7661 0.3127
N 0.1728 0.5350 0.1237
N 0.1728 0.9650 0.6237
N 0.8272 0.0350 0.3763
N 0.8272 0.4650 0.8763

Main lines, sorted by position (2θ = 10–90°):
- 24.73°, intensity 57
- 27.15°, intensity 79
- 27.51°, intensity 66
- 27.68°, intensity 54
- 28.82°, intensity 100
- 29.55°, intensity 65
- 29.75°, intensity 49
- 31.77°, intensity 87
- 34.70°, intensity 65
- 35.76°, intensity 54

(8)
# Zr4Te3N2
Theoretical XRD peak list, CuKα. Input: the PBE geometry in the Materials Project.
Lines closer than 0.1° are merged.

Structure:
Lattice parameters (Å, degrees): 7.3943 10.4133 10.0754 90.00 90.00 90.00
Fractional positions:
Zr 0.0387 0.2500 0.1755
Zr 0.0980 0.0704 0.8840
Zr 0.0980 0.4296 0.8840
Zr 0.2090 0.2500 0.5160
Zr 0.2910 0.7500 0.0160
Zr 0.4020 0.5704 0.3840
Zr 0.4020 0.9296 0.3840
Zr 0.4613 0.7500 0.6755
Zr 0.5387 0.2500 0.3245
Zr 0.5980 0.0704 0.6160
Zr 0.5980 0.4296 0.6160
Zr 0.7090 0.2500 0.9840
Zr 0.7910 0.7500 0.4840
Zr 0.9020 0.5704 0.1160
Zr 0.9020 0.9296 0.1160
Zr 0.9613 0.7500 0.8245
Te 0.1152 0.7500 0.2959
Te 0.1355 0.5765 0.6256
Te 0.1355 0.9235 0.6256
Te 0.3645 0.0765 0.1256
Te 0.3645 0.4235 0.1256
Te 0.3848 0.2500 0.7959
Te 0.6152 0.7500 0.2041
Te 0.6355 0.5765 0.8744
Te 0.6355 0.9235 0.8744
Te 0.8645 0.0765 0.3744
Te 0.8645 0.4235 0.3744
Te 0.8848 0.2500 0.7041
N 0.0970 0.6151 0.9661
N 0.0970 0.8849 0.9661
N 0.4030 0.1151 0.4661
N 0.4030 0.3849 0.4661
N 0.5970 0.6151 0.5339
N 0.5970 0.8849 0.5339
N 0.9030 0.1151 0.0339
N 0.9030 0.3849 0.0339

Main lines, sorted by position (2θ = 10–90°):
- 29.78°, intensity 47
- 30.47°, intensity 51
- 30.96°, intensity 72
- 33.62°, intensity 100
- 36.13°, intensity 41
- 38.59°, intensity 16
- 39.75°, intensity 22
- 43.45°, intensity 17
- 52.74°, intensity 20
- 65.61°, intensity 29

(9)
# Th2N3
Theoretical XRD peak list, CuKα. Input: the PBE geometry in the Materials Project.
Lines closer than 0.1° are merged.

Structure:
Lattice parameters (Å, degrees): 3.9135 3.9135 6.1532 90.00 90.00 120.00
Fractional positions:
Th 0.3333 0.6667 0.2513
Th 0.6667 0.3333 0.7487
N 0.0000 0.0000 0.5000
N 0.3333 0.6667 0.8583
N 0.6667 0.3333 0.1417

Main lines, sorted by position (2θ = 10–90°):
- 26.30°, intensity 26
- 29.02°, intensity 26
- 30.10°, intensity 100
- 39.56°, intensity 21
- 46.41°, intensity 27
- 52.12°, intensity 26
- 55.67°, intensity 26
- 56.31°, intensity 18
- 72.33°, intensity 10
- 75.86°, intensity 16

(10)
# Th3N4
Theoretical XRD peak list, CuKα. Input: the PBE geometry in the Materials Project.
Lines closer than 0.1° are merged.

Structure:
Lattice parameters (Å, degrees): 9.4306 9.4306 9.4306 23.75 23.75 23.75
Fractional positions:
Th 0.0000 0.0000 0.0000
Th 0.2219 0.2219 0.2219
Th 0.7781 0.7781 0.7781
N 0.1325 0.1325 0.1325
N 0.3769 0.3769 0.3769
N 0.6231 0.6231 0.6231
N 0.8675 0.8675 0.8675

Main lines, sorted by position (2θ = 10–90°):
- 26.72°, intensity 40
- 29.25°, intensity 51
- 29.58°, intensity 89
- 31.19°, intensity 100
- 37.43°, intensity 22
- 46.81°, intensity 52
- 51.04°, intensity 26
- 54.10°, intensity 23
- 56.15°, intensity 52
- 79.95°, intensity 19

(11)
# ThN2
Theoretical XRD peak list, CuKα. Input: the PBE geometry in the Materials Project.
Lines closer than 0.1° are merged.

Structure:
Lattice parameters (Å, degrees): 4.0214 4.0214 4.0214 60.00 60.00 60.00
Fractional positions:
Th 0.0000 0.0000 0.0000
N 0.2500 0.2500 0.2500
N 0.7500 0.7500 0.7500

Main lines, sorted by position (2θ = 10–90°):
- 27.16°, intensity 100
- 31.46°, intensity 39
- 45.09°, intensity 48
- 53.43°, intensity 48
- 56.01°, intensity 11
- 65.67°, intensity 8
- 72.44°, intensity 20
- 74.63°, intensity 16
- 83.22°, intensity 16
- 89.56°, intensity 16

(12)
# ThUN2
Theoretical XRD peak list, CuKα. Input: the PBE geometry in the Materials Project.
Lines closer than 0.1° are merged.

Structure:
Lattice parameters (Å, degrees): 3.5580 3.5580 5.0309 90.00 90.00 90.00
Fractional positions:
Th 0.0000 0.0000 0.0000
U 0.5000 0.5000 0.5000
N 0.0000 0.0000 0.5000
N 0.5000 0.5000 0.0000

Main lines, sorted by position (2θ = 10–90°):
- 30.78°, intensity 100
- 35.69°, intensity 65
- 51.36°, intensity 47
- 61.08°, intensity 47
- 64.11°, intensity 16
- 75.60°, intensity 8
- 83.81°, intensity 21
- 86.51°, intensity 22